(1)
# PHF5
Simulated powder diffraction line list, Cu Kα. Input: a cell relaxed with PBE.

Atomic structure:
```
data_PHF5
_cell_length_a 8.123
_cell_length_b 10.489
_cell_length_c 5.379
_cell_angle_alpha 90.00
_cell_angle_beta 90.00
_cell_angle_gamma 90.00
_space_group_name_H-M_alt 'I m m a'
_space_group_IT_number 74
_space_group_name_Hall '-I 2b 2'
loop_
_atom_site_label
_atom_site_type_symbol
_atom_site_fract_x
_atom_site_fract_y
_atom_site_fract_z
_atom_site_occupancy
P1 P 0.000 0.000 0.000 1
H1 H 0.000 0.250 0.364 1
F1 F 0.000 0.250 0.539 1
F2 F 0.142 0.107 0.051 1
```

Main lines, in order of rising 2θ (2θ = 5–70°):
16.91°, I 14.9, (0 2 0)
19.80°, I 90.8, (1 0 1)
26.14°, I 100.0, (1 2 1)
33.32°, I 40.4, (0 0 2)
40.97°, I 15.1, (2 4 0)
51.40°, I 15.8, (3 4 1)

=====

(2)
# Ac4Co2AgH
Simulated powder diffraction line list, Cu Kα. Input: a cell relaxed with PBE.

Atomic structure:
```
data_Ac4Co2AgH
_cell_length_a 4.304
_cell_length_b 13.798
_cell_length_c 14.702
_cell_angle_alpha 90.00
_cell_angle_beta 90.00
_cell_angle_gamma 90.00
_space_group_name_H-M_alt 'C m c m'
_space_group_IT_number 63
_space_group_name_Hall '-C 2c 2'
loop_
_atom_site_label
_atom_site_type_symbol
_atom_site_fract_x
_atom_site_fract_y
_atom_site_fract_z
_atom_site_occupancy
Ac1 Ac 0.000 0.000 0.000 1
Ac2 Ac 0.000 0.268 0.110 1
Ac3 Ac 0.000 0.427 0.750 1
Co1 Co 0.000 0.374 0.565 1
Ag1 Ag 0.000 0.116 0.750 1
H1 H 0.000 0.161 0.250 1
```

Main lines, in order of rising 2θ (2θ = 5–70°):
27.50°, I 90.7, (0 2 4)
28.36°, I 80.6, (1 1 3)
29.06°, I 100.0, (1 3 1)
30.95°, I 40.3, (1 3 2)
42.00°, I 38.1, (2 0 0)
50.93°, I 53.4, (2 2 4)